Calculated powder X-ray diffraction pattern
Compound: DyTlHgPb
Radiation: λ = 1.5418 Å (Cu Kα)
Structure: a structure optimized by DFT (PBE)
Intensities are scaled so that the largest is 1000.

Atomic structure:
abc: 4.6273 4.7114 4.8609
angles: 90.00 90.00 90.00
Space group Pmmm (No. 47)
One atom of each set of equivalent atoms:
1 Dy 0.0000 0.0000 0.0000
2 Tl 0.5000 0.0000 0.5000
3 Hg 0.0000 0.5000 0.5000
4 Pb 0.5000 0.5000 0.0000

Largest 6 diffraction maxima, by angle, 2θ from 5° to 70°:
| 2θ (°) | I_rel |
| --- | --- |
| 32.79 | 1000 |
| 36.99 | 182 |
| 38.20 | 167 |
| 38.93 | 158 |
| 64.01 | 150 |
| 65.65 | 139 |

=====

Calculated powder X-ray diffraction pattern
Compound: Ac6Sm3Er
Radiation: λ = 1.5418 Å (Cu Kα)
Structure: a structure optimized by DFT (PBE)
Intensities are scaled so that the largest is 1000.

Atomic structure:
abc: 16.7995 16.7995 9.8833
angles: 90.00 90.00 120.00
Space group R-3 (No. 148, hexagonal axes)
One atom of each set of equivalent atoms:
1 Ac 0.0307 0.7670 0.3509
2 Ac 0.0711 0.5048 0.6610
3 Sm 0.0156 0.8673 0.7080
4 Er 0.0000 0.0000 0.0000
5 Er 0.0000 0.0000 0.5000

Largest 6 diffraction maxima, by angle, 2θ from 5° to 70°:
| 2θ (°) | I_rel |
| --- | --- |
| 27.07 | 321 |
| 28.22 | 1000 |
| 32.37 | 788 |
| 45.69 | 242 |
| 47.16 | 273 |
| 55.22 | 240 |

=====

Calculated powder X-ray diffraction pattern
Compound: Ta4MoSe10
Radiation: λ = 1.5418 Å (Cu Kα)
Structure: a structure optimized by DFT (PBE)
Intensities are scaled so that the largest is 1000.

Atomic structure:
abc: 19.5705 3.4398 10.5295
angles: 90.00 94.41 90.00
Space group Cm (No. 8)
One atom of each set of equivalent atoms:
1 Ta 0.0000 0.0000 0.0000
2 Ta 0.0976 0.5000 0.8045
3 Ta 0.2045 0.0000 0.5912
4 Ta 0.3955 0.0000 0.2097
5 Mo 0.2985 0.5000 0.4039
6 Se 0.9997 0.0000 0.7521
7 Se 0.0283 0.5000 0.1838
8 Se 0.1033 0.5000 0.5562
9 Se 0.1323 0.0000 0.9836
10 Se 0.2019 0.0000 0.3492
11 Se 0.2299 0.5000 0.7776
12 Se 0.2984 0.5000 0.1589
13 Se 0.3341 0.0000 0.5802
14 Se 0.4001 0.0000 0.9604
15 Se 0.4293 0.5000 0.3873

Largest 6 diffraction maxima, by angle, 2θ from 5° to 70°:
| 2θ (°) | I_rel |
| --- | --- |
| 12.85 | 1000 |
| 30.29 | 322 |
| 34.77 | 280 |
| 37.19 | 524 |
| 43.13 | 374 |
| 53.22 | 385 |

=====

Calculated powder X-ray diffraction pattern
Compound: Li7Sn2Ge2
Radiation: λ = 1.5418 Å (Cu Kα)
Structure: a structure optimized by DFT (PBE)
Intensities are scaled so that the largest is 1000.

Atomic structure:
abc: 2.9072 15.3103 9.3458
angles: 90.00 90.00 90.00
Space group Imm2 (No. 44)
One atom of each set of equivalent atoms:
1 Li 0.0000 0.0000 0.0000
2 Li 0.0000 0.0904 0.4515
3 Li 0.0000 0.3358 0.6887
4 Li 0.0000 0.3525 0.2267
5 Sn 0.0000 0.2406 0.9548
6 Ge 0.0000 0.0000 0.7066
7 Ge 0.0000 0.5000 0.7513

Largest 6 diffraction maxima, by angle, 2θ from 5° to 70°:
| 2θ (°) | I_rel |
| --- | --- |
| 22.29 | 1000 |
| 23.24 | 466 |
| 34.36 | 342 |
| 40.13 | 318 |
| 40.28 | 291 |
| 44.23 | 274 |

=====

Calculated powder X-ray diffraction pattern
Compound: Ce2PmHoTe5
Radiation: λ = 1.5418 Å (Cu Kα)
Structure: a structure optimized by DFT (PBE)
Intensities are scaled so that the largest is 1000.

Atomic structure:
abc: 5.4975 5.4975 11.7300
angles: 90.00 90.00 90.00
Space group P4/mmm (No. 123)
One atom of each set of equivalent atoms:
1 Ce 0.0000 0.0000 0.1770
2 Pm 0.5000 0.5000 0.5000
3 Ho 0.5000 0.5000 0.0000
4 Te 0.0000 0.0000 0.5000
5 Te 0.0000 0.5000 0.0000
6 Te 0.5000 0.5000 0.2514

Largest 6 diffraction maxima, by angle, 2θ from 5° to 70°:
| 2θ (°) | I_rel |
| --- | --- |
| 7.54 | 430 |
| 22.88 | 556 |
| 28.00 | 233 |
| 32.54 | 1000 |
| 45.21 | 271 |
| 46.74 | 237 |

=====

Calculated powder X-ray diffraction pattern
Compound: Tl3Hg2I8
Radiation: λ = 1.5418 Å (Cu Kα)
Structure: a structure optimized by DFT (PBE)
Intensities are scaled so that the largest is 1000.

Atomic structure:
abc: 8.8902 8.8902 27.0161
angles: 90.00 90.00 120.00
Space group R-3m (No. 166, hexagonal axes)
One atom of each set of equivalent atoms:
1 Tl 0.0000 0.0000 0.0000
2 Tl 0.0000 0.0000 0.1864
3 Hg 0.0000 0.0000 0.4081
4 I 0.0000 0.0000 0.3019
5 I 0.0245 0.5122 0.7661

Largest 6 diffraction maxima, by angle, 2θ from 5° to 70°:
| 2θ (°) | I_rel |
| --- | --- |
| 19.97 | 1000 |
| 24.04 | 457 |
| 28.47 | 464 |
| 34.99 | 488 |
| 35.21 | 381 |
| 40.59 | 616 |

=====

Calculated powder X-ray diffraction pattern
Compound: Rb2TlTcBr6
Radiation: λ = 1.5418 Å (Cu Kα)
Structure: a structure optimized by DFT (PBE)
Intensities are scaled so that the largest is 1000.

Atomic structure:
abc: 11.3927 11.3927 11.3927
angles: 90.00 90.00 90.00
Space group Fm-3m (No. 225)
One atom of each set of equivalent atoms:
1 Rb 0.2500 0.2500 0.2500
2 Tl 0.0000 0.0000 0.0000
3 Tc 0.0000 0.0000 0.5000
4 Br 0.0000 0.0000 0.2751

Largest 6 diffraction maxima, by angle, 2θ from 5° to 70°:
| 2θ (°) | I_rel |
| --- | --- |
| 15.56 | 561 |
| 22.07 | 582 |
| 27.11 | 268 |
| 31.41 | 1000 |
| 35.23 | 240 |
| 45.01 | 679 |

=====

Calculated powder X-ray diffraction pattern
Compound: ReRuC2
Radiation: λ = 1.5418 Å (Cu Kα)
Structure: a structure optimized by DFT (PBE)
Intensities are scaled so that the largest is 1000.

Atomic structure:
abc: 2.7893 2.7893 6.4396
angles: 90.00 90.00 120.00
Space group P3m1 (No. 156)
One atom of each set of equivalent atoms:
1 Re 0.0000 0.0000 0.0000
2 Ru 0.6667 0.3333 0.3759
3 C 0.3333 0.6667 0.5743
4 C 0.3333 0.6667 0.7920

Largest 6 diffraction maxima, by angle, 2θ from 5° to 70°:
| 2θ (°) | I_rel |
| --- | --- |
| 13.75 | 479 |
| 27.71 | 315 |
| 37.22 | 201 |
| 39.86 | 1000 |
| 47.03 | 470 |
| 57.43 | 193 |

=====

Calculated powder X-ray diffraction pattern
Compound: ScRuAu
Radiation: λ = 1.5418 Å (Cu Kα)
Structure: a structure optimized by DFT (PBE)
Intensities are scaled so that the largest is 1000.

Atomic structure:
abc: 10.2313 3.1265 6.9589
angles: 90.00 99.79 90.00
Space group C2/m (No. 12)
One atom of each set of equivalent atoms:
1 Sc 0.0582 0.0000 0.2342
2 Ru 0.1444 0.5000 0.9678
3 Au 0.1973 0.0000 0.6432

Largest 6 diffraction maxima, by angle, 2θ from 5° to 70°:
| 2θ (°) | I_rel |
| --- | --- |
| 17.59 | 748 |
| 23.61 | 458 |
| 32.08 | 756 |
| 40.06 | 1000 |
| 40.16 | 475 |
| 41.07 | 939 |

=====

Calculated powder X-ray diffraction pattern
Compound: AlCr3Pt12
Radiation: λ = 1.5418 Å (Cu Kα)
Structure: a structure optimized by DFT (PBE)
Intensities are scaled so that the largest is 1000.

Atomic structure:
abc: 3.9160 3.9160 15.6909
angles: 90.00 90.00 90.00
Space group P4/mmm (No. 123)
One atom of each set of equivalent atoms:
1 Al 0.0000 0.0000 0.0000
2 Cr 0.0000 0.0000 0.2508
3 Cr 0.0000 0.0000 0.5000
4 Pt 0.0000 0.5000 0.1251
5 Pt 0.0000 0.5000 0.3750
6 Pt 0.5000 0.5000 0.0000
7 Pt 0.5000 0.5000 0.2496
8 Pt 0.5000 0.5000 0.5000

Largest 6 diffraction maxima, by angle, 2θ from 5° to 70°:
| 2θ (°) | I_rel |
| --- | --- |
| 22.69 | 167 |
| 32.31 | 141 |
| 39.85 | 1000 |
| 46.35 | 489 |
| 52.20 | 78 |
| 67.63 | 318 |

=====

Calculated powder X-ray diffraction pattern
Compound: Dy5Ho2Tm3
Radiation: λ = 1.5418 Å (Cu Kα)
Structure: a structure optimized by DFT (PBE)
Intensities are scaled so that the largest is 1000.

Atomic structure:
abc: 10.5996 15.5953 9.3821
angles: 90.00 124.39 90.00
Space group C2/c (No. 15)
One atom of each set of equivalent atoms:
1 Dy 0.0000 0.0175 0.2500
2 Dy 0.0000 0.2177 0.2500
3 Dy 0.0000 0.4824 0.7500
4 Dy 0.2488 0.1433 0.7466
5 Ho 0.1495 0.1311 0.0467
6 Tm 0.0000 0.2815 0.7500
7 Tm 0.1473 0.3684 0.5469

Largest 6 diffraction maxima, by angle, 2θ from 5° to 70°:
| 2θ (°) | I_rel |
| --- | --- |
| 30.77 | 1000 |
| 32.60 | 122 |
| 33.83 | 246 |
| 38.58 | 104 |
| 58.62 | 162 |
| 67.43 | 107 |

=====

Calculated powder X-ray diffraction pattern
Compound: CaPdRhO4
Radiation: λ = 1.5418 Å (Cu Kα)
Structure: a structure optimized by DFT (PBE)
Intensities are scaled so that the largest is 1000.

Atomic structure:
abc: 6.0481 6.1469 10.3488
angles: 90.00 90.00 90.00
Space group Imma (No. 74)
One atom of each set of equivalent atoms:
1 Ca 0.0000 0.2500 0.1538
2 Pd 0.2500 0.2500 0.7500
3 Rh 0.0000 0.0000 0.5000
4 O 0.0000 0.0342 0.6997
5 O 0.2097 0.2500 0.4771

Largest 6 diffraction maxima, by angle, 2θ from 5° to 70°:
| 2θ (°) | I_rel |
| --- | --- |
| 16.78 | 499 |
| 16.98 | 908 |
| 33.88 | 1000 |
| 34.16 | 534 |
| 41.91 | 451 |
| 55.49 | 551 |